Record 1
Starting from a cell relaxed with PBE, the powder X-ray diffraction pattern of CrCuS2 was simulated for CuKα.

Top 6 peaks for 15 to 90 degrees two-theta, low angle first:
d (Å)	I (rel.)
3.211	140
2.810	1000
2.286	193
1.976	585
1.837	404
1.640	401

Crystal structure
abc: 3.2796 3.2796 19.2636
angles: 90.00 90.00 120.00
Sites, in units of the cell vectors:
Cr1 0.0000 0.0000 0.0000
Cr2 0.3333 0.6667 0.6667
Cr3 0.6667 0.3333 0.3333
Cu1 0.0000 0.0000 0.1481
Cu2 0.3333 0.6667 0.8147
Cu3 0.6667 0.3333 0.4814
S1 0.0000 0.0000 0.2627
S2 0.0000 0.0000 0.4091
S3 0.3333 0.6667 0.0758
S4 0.3333 0.6667 0.9294
S5 0.6667 0.3333 0.5961
S6 0.6667 0.3333 0.7425



Record 2
Starting from a cell relaxed with PBE, the powder X-ray diffraction pattern of CrCuS4 was simulated for CuKα.

Top 6 peaks for 15 to 90 degrees two-theta, low angle first:
d (Å)	I (rel.)
3.328	429
2.896	549
2.875	1000
2.042	387
1.744	425
1.736	684

Crystal structure
abc: 5.7928 5.7567 5.7429
angles: 90.00 90.15 90.00
Sites, in units of the cell vectors:
Cr1 0.0000 0.0000 0.0000
Cr2 0.0000 0.5000 0.5000
Cu1 0.5000 0.0000 0.5000
Cu2 0.5000 0.5000 0.0000
S1 0.0979 0.1152 0.6147
S2 0.0979 0.3848 0.1147
S3 0.3893 0.5988 0.6021
S4 0.3893 0.9012 0.1021
S5 0.6107 0.0988 0.8979
S6 0.6107 0.4012 0.3979
S7 0.9021 0.6152 0.8853
S8 0.9021 0.8848 0.3853



Record 3
Starting from a cell relaxed with PBE, the powder X-ray diffraction pattern of CrCuS2 was simulated for CuKα.

Top 6 peaks for 15 to 90 degrees two-theta, low angle first:
d (Å)	I (rel.)
3.059	765
2.658	817
2.444	667
2.055	725
1.870	1000
1.790	381

Crystal structure
abc: 3.7396 3.7396 18.6164
angles: 90.00 90.00 120.00
Sites, in units of the cell vectors:
Cr1 0.0000 0.0000 0.0000
Cr2 0.3333 0.6667 0.6667
Cr3 0.6667 0.3333 0.3333
Cu1 0.0000 0.0000 0.4249
Cu2 0.3333 0.6667 0.0916
Cu3 0.6667 0.3333 0.7583
S1 0.0000 0.0000 0.2761
S2 0.0000 0.0000 0.7616
S3 0.3333 0.6667 0.4282
S4 0.3333 0.6667 0.9428
S5 0.6667 0.3333 0.0949
S6 0.6667 0.3333 0.6094



Record 4
Starting from a cell relaxed with PBE, the powder X-ray diffraction pattern of CrCuS2 was simulated for CuKα.

Top 6 peaks for 15 to 90 degrees two-theta, low angle first:
d (Å)	I (rel.)
3.010	1000
2.895	373
2.347	257
1.989	580
1.834	487
1.762	585

Crystal structure
abc: 3.5230 3.5230 18.3603
angles: 90.00 90.00 120.00
Sites, in units of the cell vectors:
Cr1 0.0000 0.0000 0.0000
Cr2 0.3333 0.6667 0.6667
Cr3 0.6667 0.3333 0.3333
Cu1 0.0000 0.0000 0.8535
Cu2 0.3333 0.6667 0.5202
Cu3 0.6667 0.3333 0.1868
S1 0.0000 0.0000 0.2546
S2 0.0000 0.0000 0.7333
S3 0.3333 0.6667 0.4000
S4 0.3333 0.6667 0.9212
S5 0.6667 0.3333 0.0667
S6 0.6667 0.3333 0.5879



Record 5
Starting from a cell relaxed with PBE, the powder X-ray diffraction pattern of Cr3Cu2SbS8 was simulated for CuKα.

Top 6 peaks for 15 to 90 degrees two-theta, low angle first:
d (Å)	I (rel.)
3.527	393
3.076	408
3.032	1000
2.518	603
1.798	541
1.763	548

Crystal structure
abc: 7.1968 7.1968 7.1968
angles: 58.69 58.69 58.69
Sites, in units of the cell vectors:
Cr1 0.0000 0.5000 0.5000
Cr2 0.5000 0.0000 0.5000
Cr3 0.5000 0.5000 0.0000
Cu1 0.1299 0.1299 0.1299
Cu2 0.8701 0.8701 0.8701
Sb1 0.5000 0.5000 0.5000
S1 0.2463 0.2463 0.7312
S2 0.2463 0.7312 0.2463
S3 0.2589 0.2589 0.2589
S4 0.2688 0.7537 0.7537
S5 0.7312 0.2463 0.2463
S6 0.7411 0.7411 0.7411
S7 0.7537 0.2688 0.7537
S8 0.7537 0.7537 0.2688



Record 6
Starting from a cell relaxed with PBE, the powder X-ray diffraction pattern of Cr2CuSe2S2 was simulated for CuKα.

Top 6 peaks for 15 to 90 degrees two-theta, low angle first:
d (Å)	I (rel.)
3.586	268
3.058	768
2.928	264
2.536	656
1.952	424
1.793	1000

Crystal structure
abc: 7.1721 7.1721 7.1721
angles: 60.00 60.00 60.00
Sites, in units of the cell vectors:
Cr1 0.3820 0.3820 0.3820
Cr2 0.3820 0.3820 0.8540
Cr3 0.3820 0.8540 0.3820
Cr4 0.8540 0.3820 0.3820
Cu1 0.0000 0.0000 0.0000
Cu2 0.7500 0.7500 0.7500
Se1 0.1337 0.1337 0.1337
Se2 0.1337 0.1337 0.5988
Se3 0.1337 0.5988 0.1337
Se4 0.5988 0.1337 0.1337
S1 0.1470 0.6177 0.6177
S2 0.6177 0.1470 0.6177
S3 0.6177 0.6177 0.1470
S4 0.6177 0.6177 0.6177



Record 7
Starting from a cell relaxed with PBE, the powder X-ray diffraction pattern of TaCr3Cu2S8 was simulated for CuKα.

Top 6 peaks for 15 to 90 degrees two-theta, low angle first:
d (Å)	I (rel.)
3.844	1000
3.685	375
2.665	299
2.532	301
2.171	363
1.922	307

Crystal structure
abc: 7.6881 5.8459 12.0707
angles: 90.00 90.00 90.00
Sites, in units of the cell vectors:
Ta1 0.0000 0.2250 0.0000
Ta2 0.5000 0.7750 0.5000
Cr1 0.0000 0.1269 0.2287
Cr2 0.0000 0.5687 0.8334
Cr3 0.0000 0.7341 0.0370
Cr4 0.5000 0.2659 0.5370
Cr5 0.5000 0.4313 0.3334
Cr6 0.5000 0.8731 0.7287
Cu1 0.0000 0.1068 0.5729
Cu2 0.0000 0.5992 0.3730
Cu3 0.5000 0.4008 0.8730
Cu4 0.5000 0.8932 0.0729
S1 0.0000 0.4413 0.6728
S2 0.0000 0.4905 0.1899
S3 0.0000 0.9449 0.8620
S4 0.0000 0.9818 0.3933
S5 0.2072 0.9912 0.1145
S6 0.2248 0.4969 0.9451
S7 0.2752 0.5031 0.4451
S8 0.2928 0.0088 0.6145
S9 0.5000 0.0182 0.8933
S10 0.5000 0.0551 0.3620
S11 0.5000 0.5095 0.6899
S12 0.5000 0.5587 0.1728
S13 0.7072 0.0088 0.6145
S14 0.7248 0.5031 0.4451
S15 0.7752 0.4969 0.9451
S16 0.7928 0.9912 0.1145



Record 8
Starting from a cell relaxed with PBE, the powder X-ray diffraction pattern of TaCr3Cu2S8 was simulated for CuKα.

Top 6 peaks for 15 to 90 degrees two-theta, low angle first:
d (Å)	I (rel.)
5.790	939
2.993	962
2.642	1000
2.097	878
2.065	998
1.724	756

Crystal structure
abc: 5.7930 6.9205 5.9681
angles: 90.00 91.76 90.00
Sites, in units of the cell vectors:
Ta1 0.0000 0.0000 0.0000
Cr1 0.0000 0.2477 0.5000
Cr2 0.0000 0.5000 0.0000
Cr3 0.0000 0.7523 0.5000
Cu1 0.5000 0.2582 0.5000
Cu2 0.5000 0.7418 0.5000
S1 0.2323 0.5000 0.6731
S2 0.2400 0.2547 0.1758
S3 0.2400 0.7453 0.1758
S4 0.2504 0.0000 0.6722
S5 0.7496 0.0000 0.3278
S6 0.7600 0.2547 0.8242
S7 0.7600 0.7453 0.8242
S8 0.7677 0.5000 0.3269